# 1
This entry pairs a crystal structure of Li2SnPb with its calculated X-ray powder pattern. Radiation: a wavelength of 1.5418 Å. Structure: DFT lattice parameters and positions (GGA-PBE).

The 10 most intense peaks (2θ = 10–80°), in order of rising 2θ:
2θ = 21.86°, intensity 12.7; 2θ = 25.30°, intensity 100.0; 2θ = 36.08°, intensity 92.5; 2θ = 42.59°, intensity 7.2; 2θ = 44.58°, intensity 30.5; 2θ = 51.95°, intensity 16.7; 2θ = 57.01°, intensity 3.1; 2θ = 58.63°, intensity 41.4; 2θ = 64.87°, intensity 34.9; 2θ = 76.54°, intensity 11.1

Structure:
```
4
Lattice="0.0000 3.5206 3.5206 3.5206 0.0000 3.5206 3.5206 3.5206 0.0000" Properties=species:S:1:pos:R:3 pbc="T T T"
Li 1.7603 1.7603 1.7603
Li 5.2809 5.2809 5.2809
Sn 0.0000 0.0000 0.0000
Pb 3.5206 3.5206 3.5206
```

=====

# 2
This entry pairs a crystal structure of PbI2 with its calculated X-ray powder pattern. Radiation: a wavelength of 1.5418 Å. Structure: DFT lattice parameters and positions (GGA-PBE).

The 10 most intense peaks (2θ = 10–80°), in order of rising 2θ:
2θ = 11.17°, intensity 100.0; 2θ = 22.73°, intensity 35.5; 2θ = 24.75°, intensity 89.8; 2θ = 27.82°, intensity 99.4; 2θ = 31.65°, intensity 30.0; 2θ = 36.03°, intensity 57.5; 2θ = 38.63°, intensity 65.0; 2θ = 40.33°, intensity 28.8; 2θ = 40.84°, intensity 25.2; 2θ = 61.44°, intensity 31.4

Structure:
```
6
Lattice="4.6619 0.0000 0.0000 -2.3309 4.0373 0.0000 0.0000 0.0000 15.8428" Properties=species:S:1:pos:R:3 pbc="T T T"
Pb 0.0000 2.6915 0.0000
Pb 2.3309 1.3458 7.9214
I 0.0000 0.0000 1.8702
I 0.0000 0.0000 9.7916
I 0.0000 2.6915 6.0497
I 2.3309 1.3458 13.9711
```

=====

# 3
This entry pairs a crystal structure of DyAl with its calculated X-ray powder pattern. Radiation: a wavelength of 1.5418 Å. Structure: DFT lattice parameters and positions (GGA-PBE).

The 7 most intense peaks (2θ = 10–80°), in order of rising 2θ:
2θ = 24.75°, intensity 62.1; 2θ = 35.29°, intensity 100.0; 2θ = 43.58°, intensity 18.9; 2θ = 50.76°, intensity 17.8; 2θ = 57.27°, intensity 25.5; 2θ = 63.33°, intensity 36.6; 2θ = 74.63°, intensity 11.3

Structure:
```
2
Lattice="3.5970 0.0000 0.0000 0.0000 3.5970 0.0000 0.0000 0.0000 3.5970" Properties=species:S:1:pos:R:3 pbc="T T T"
Dy 0.0000 0.0000 0.0000
Al 1.7985 1.7985 1.7985
```

=====

# 4
This entry pairs a crystal structure of Ca2P2O11 with its calculated X-ray powder pattern. Radiation: a wavelength of 1.5418 Å. Structure: DFT lattice parameters and positions (GGA-PBE).

The 10 most intense peaks (2θ = 10–80°), in order of rising 2θ:
2θ = 20.29°, intensity 46.3; 2θ = 26.05°, intensity 62.3; 2θ = 27.84°, intensity 53.8; 2θ = 28.09°, intensity 100.0; 2θ = 28.82°, intensity 73.0; 2θ = 29.43°, intensity 69.6; 2θ = 30.13°, intensity 77.6; 2θ = 31.13°, intensity 46.2; 2θ = 31.26°, intensity 78.8; 2θ = 36.72°, intensity 50.2

Structure:
```
60
Lattice="12.4155 0.0000 0.0000 0.0000 7.5947 0.0000 -4.0629 0.0000 9.9338" Properties=species:S:1:pos:R:3 pbc="T T T"
Ca -0.8696 0.0352 2.6187
Ca -2.9011 3.7621 7.5856
Ca 2.2181 4.8521 1.5750
Ca 0.1866 6.5399 6.5419
Ca 8.1660 1.0548 3.3919
Ca 6.1345 2.7426 8.3588
Ca 11.2537 3.8326 2.3482
Ca 9.2222 7.5595 7.3151
P -1.2899 1.8627 5.0890
P 0.7415 1.9347 0.1221
P -0.8493 0.1576 9.7598
P 1.1822 3.6398 4.7929
P 7.1704 3.9549 5.1409
P 9.2019 7.4371 0.1740
P 7.6111 5.6600 9.8117
P 9.6425 5.7320 4.8448
O -0.2618 1.8927 1.2796
O -2.2933 1.9046 6.2465
O -2.0713 5.6101 6.2389
O -0.0398 5.7820 1.2720
O -0.4541 0.5724 5.0362
O 1.5773 3.2250 0.0693
O 1.6397 0.6367 0.3046
O -0.3918 3.1607 5.2715
O 0.9700 3.9333 3.2741
O -1.0615 7.4588 8.2410
O -0.0062 4.1205 8.3017
O 2.0253 7.2715 3.3348
O 1.3355 4.9422 5.5682
O 3.3670 6.4498 0.6013
O 4.1403 1.2823 0.1227
O 2.1088 2.5150 5.0896
O 2.9173 0.5217 3.4484
O 0.8859 3.2756 8.4153
O 4.3665 4.5122 3.1088
O 2.3350 6.8799 8.0757
O 2.7199 0.1590 7.2850
O 4.7513 3.6383 2.3181
O 3.6013 3.9564 7.6157
O 5.6327 7.4357 2.6488
O 6.0176 0.7148 1.8581
O 3.9861 3.0825 6.8250
O 7.4667 4.3191 1.5185
O 5.4353 7.0729 6.4854
O 6.2438 5.0796 4.8442
O 4.2123 6.3124 9.8111
O 4.9856 1.1449 9.3325
O 7.0171 2.6525 4.3656
O 6.3273 0.3232 6.5990
O 8.3588 3.4742 1.6321
O 9.4141 0.1359 1.6928
O 7.3827 3.6614 6.6597
O 8.7444 4.4340 4.6622
O 6.7129 6.9580 9.6291
O 6.7753 4.3697 9.8645
O 8.8068 7.0223 4.8976
O 8.3924 1.8127 8.6618
O 10.4239 1.9846 3.6949
O 10.6459 5.6900 3.6873
O 8.6144 5.7020 8.6542
```